Calculated powder diffractogram of Cs2CoSeO4 for Cu Kα (weighted mean of Kα1 and Kα2), from a DFT-relaxed cell (PBE+U, Alexandria).
Lines closer than 0.1° are merged.

Main lines, by angle (2θ from 10° to 90°):
20.5°, I = 96
27.3°, I = 89
29.3°, I = 100
34.4°, I = 40
38.9°, I = 66
49.5°, I = 45

Cell and atoms:
Cell: 13.1163 11.9718 6.7375 Å, 84.07 65.21 30.73°
Fractional coordinates of all 16 atoms:
Cs1 0.0440 0.0440 0.7060
Cs2 0.2940 0.2940 0.9560
Cs3 0.7060 0.7060 0.0440
Cs4 0.9560 0.9560 0.2940
Co1 0.1250 0.1250 0.1250
Co2 0.8750 0.8750 0.8750
Se1 0.3750 0.3750 0.3750
Se2 0.6250 0.6250 0.6250
O1 0.0470 0.5948 0.7027
O2 0.1556 0.7027 0.5948
O3 0.2973 0.8444 0.9530
O4 0.4052 0.9530 0.8444
O5 0.5948 0.0470 0.1556
O6 0.7027 0.1556 0.0470
O7 0.8444 0.2973 0.4052
O8 0.9530 0.4052 0.2973